No. 1
Starting from a cell relaxed with PBE, the X-ray powder pattern of PuFeCuRu was computed for Cu Kα (weighted mean of Kα1 and Kα2).
Intensities are scaled so that the largest is 100.

Principal peaks in the range 2θ from 10° to 80°, in order of rising 2θ:
| 2θ (°) | Rel. int. | (hkl) |
| --- | --- | --- |
| 24.66 | 32.4 | 1 1 1 |
| 28.55 | 11.5 | 2 0 0 |
| 40.82 | 100.0 | 2 2 0 |
| 48.27 | 17.3 | 3 1 1 |
| 50.56 | 3.5 | 2 2 2 |
| 59.10 | 16.6 | 4 0 0 |
| 65.01 | 7.6 | 3 3 1 |
| 66.92 | 4.8 | 4 2 0 |
| 74.31 | 33.4 | 4 2 2 |
| 79.68 | 6.0 | 5 1 1 |

Crystal structure
Lattice parameters (Å, degrees): 6.2530 6.2530 6.2530 90.00 90.00 90.00
Fractional positions:
Pu  0.0000  0.0000  0.0000
Pu  0.0000  0.5000  0.5000
Pu  0.5000  0.0000  0.5000
Pu  0.5000  0.5000  0.0000
Fe  0.2500  0.2500  0.7500
Fe  0.2500  0.7500  0.2500
Fe  0.7500  0.2500  0.2500
Fe  0.7500  0.7500  0.7500
Cu  0.0000  0.0000  0.5000
Cu  0.0000  0.5000  0.0000
Cu  0.5000  0.0000  0.0000
Cu  0.5000  0.5000  0.5000
Ru  0.2500  0.2500  0.2500
Ru  0.2500  0.7500  0.7500
Ru  0.7500  0.2500  0.7500
Ru  0.7500  0.7500  0.2500

No. 2
Starting from a cell relaxed with PBE, the X-ray powder pattern of Fe2CuRe was computed for Cu Kα (weighted mean of Kα1 and Kα2).
Intensities are scaled so that the largest is 100.

Principal peaks in the range 2θ from 10° to 80°, in order of rising 2θ:
| 2θ (°) | Rel. int. | (hkl) |
| --- | --- | --- |
| 10.87 | 62.9 | 0 0 1 |
| 21.83 | 14.0 | 0 0 2 |
| 33.00 | 9.0 | 0 0 3 |
| 38.19 | 18.7 | 1 1 1 |
| 42.93 | 100.0 | 1 1 2 |
| 44.38 | 22.9 | 0 2 0 |
| 44.51 | 21.9 | 0 0 4 |
| 59.95 | 9.1 | 2 0 0 |
| 64.66 | 15.4 | 0 2 4 |
| 77.59 | 18.9 | 2 2 0 |

Crystal structure
Lattice parameters (Å, degrees): 3.0861 4.0825 8.1425 90.00 90.00 90.00
Fractional positions:
Fe  0.0000  0.0000  0.0000
Fe  0.0000  0.5000  0.2339
Fe  0.5000  0.0000  0.2339
Fe  0.5000  0.5000  0.0000
Cu  0.0000  0.0000  0.4780
Cu  0.5000  0.5000  0.4780
Re  0.0000  0.5000  0.7447
Re  0.5000  0.0000  0.7447